Entry 1:
Li2Co2OF6: calculated X-ray powder pattern (Cu Kα X-rays), based on the GGA+U geometry in Alexandria.
Peak positions follow from Bragg's law for the DFT cell and can differ from measured ones.

Most intense lines, 2θ from 10° to 80°, low angle first:
| h k l | 2θ (°) | I (rel.) |
| --- | --- | --- |
| 0 1 0 | 14.0 | 100 |
| 0 1 1 | 15.1 | 92 |
| 0 1 2 | 23.2 | 31 |
| 0 0 2 | 23.5 | 41 |
| -2 1 1 | 41.6 | 38 |
| 1 3 1 | 42.8 | 39 |

abc: 5.201 6.726 8.223
angles: 70.36 76.40 83.80
Fractional positions:
1 Li 0.000 0.000 0.000
2 Li 0.169 0.983 0.600
3 Li 0.478 0.781 0.158
4 Li 0.797 0.262 0.333
5 Co 0.312 0.506 0.578
6 Co 0.419 0.312 0.052
7 Co 0.839 0.720 0.462
8 Co 0.949 0.536 0.916
9 O 0.078 0.407 0.111
10 O 0.970 0.592 0.662
11 F 0.027 0.834 0.852
12 F 0.211 0.241 0.621
13 F 0.222 0.621 0.356
14 F 0.315 0.047 0.060
15 F 0.357 0.438 0.814
16 F 0.452 0.774 0.545
17 F 0.480 0.211 0.275
18 F 0.568 0.582 0.021
19 F 0.670 0.445 0.479
20 F 0.777 0.248 0.955
21 F 0.797 0.815 0.223
22 F 0.930 0.997 0.452

***

Entry 2:
Li9Ni10O20: calculated X-ray powder pattern (Cu Kα X-rays), based on the GGA+U geometry in Alexandria.
Peak positions follow from Bragg's law for the DFT cell and can differ from measured ones.

Most intense lines, 2θ from 10° to 80°, low angle first:
| h k l | 2θ (°) | I (rel.) |
| --- | --- | --- |
| 1 0 1 | 18.5 | 100 |
| 1 2 -1 | 35.5 | 18 |
| -2 1 2 | 37.0 | 24 |
| 0 2 -2 | 42.8 | 25 |
| -3 1 1 | 44.7 | 42 |
| 1 5 1 | 63.7 | 19 |

abc: 6.462 7.622 7.636
angles: 67.19 88.74 88.88
Fractional positions:
1 Li 0.000 0.000 0.000
2 Li 0.104 0.399 0.896
3 Li 0.207 0.805 0.792
4 Li 0.306 0.191 0.692
5 Li 0.403 0.607 0.595
6 Li 0.597 0.393 0.405
7 Li 0.694 0.809 0.308
8 Li 0.793 0.195 0.208
9 Li 0.896 0.601 0.104
10 Ni 0.000 0.500 0.500
11 Ni 0.106 0.899 0.402
12 Ni 0.202 0.298 0.303
13 Ni 0.299 0.699 0.195
14 Ni 0.403 0.099 0.102
15 Ni 0.500 0.500 0.000
16 Ni 0.597 0.901 0.898
17 Ni 0.701 0.301 0.805
18 Ni 0.798 0.702 0.697
19 Ni 0.894 0.101 0.598
20 O 0.019 0.753 0.247
21 O 0.082 0.650 0.639
22 O 0.127 0.153 0.161
23 O 0.182 0.048 0.547
24 O 0.223 0.554 0.051
25 O 0.277 0.443 0.444
26 O 0.322 0.955 0.953
27 O 0.385 0.838 0.336
28 O 0.422 0.360 0.856
29 O 0.486 0.273 0.221
30 O 0.514 0.727 0.779
31 O 0.578 0.640 0.144
32 O 0.615 0.162 0.664
33 O 0.678 0.045 0.047
34 O 0.723 0.557 0.556
35 O 0.777 0.446 0.949
36 O 0.818 0.952 0.453
37 O 0.873 0.847 0.839
38 O 0.918 0.350 0.361
39 O 0.981 0.247 0.753